# 1
Theoretical X-ray diffraction stick pattern
Compound: KO4
Radiation: a wavelength of 1.5418 Å
Structure: a structure optimized by DFT (GGA-PBE)
Intensities are scaled so that the largest is 100.

Most intense lines, 10 to 90 degrees two-theta, sorted by position:
(hkl)  d (Å)  I/Imax
1 1 1  3.305  14
3 1 0  3.025  34
2 0 1  2.970  17
2 1 1  2.836  100
2 2 1  2.523  52
4 1 0  2.320  42
5 3 1  1.505  13
4 1 2  1.467  15

Structure:
```
data_KO4
_symmetry_space_group_name_H-M 'P 1'
_symmetry_Int_Tables_number 1
_cell_length_a 9.5650
_cell_length_b 9.5650
_cell_length_c 3.7888
_cell_angle_alpha 90.00
_cell_angle_beta 90.00
_cell_angle_gamma 90.00
loop_
_symmetry_equiv_pos_as_xyz
'x,y,z'
loop_
_atom_site_label
_atom_site_type_symbol
_atom_site_fract_x
_atom_site_fract_y
_atom_site_fract_z
K1 K 0.2002 0.2998 0.0000
K2 K 0.2998 0.7998 0.0000
K3 K 0.7002 0.2002 0.0000
K4 K 0.7998 0.7002 0.0000
O1 O 0.0000 0.0000 0.1628
O2 O 0.0000 0.0000 0.8372
O3 O 0.0662 0.7366 0.5000
O4 O 0.0964 0.5964 0.5000
O5 O 0.2366 0.5662 0.5000
O6 O 0.2634 0.0662 0.5000
O7 O 0.4036 0.0964 0.5000
O8 O 0.4338 0.2366 0.5000
O9 O 0.5000 0.5000 0.1628
O10 O 0.5000 0.5000 0.8372
O11 O 0.5662 0.7634 0.5000
O12 O 0.5964 0.9036 0.5000
O13 O 0.7366 0.9338 0.5000
O14 O 0.7634 0.4338 0.5000
O15 O 0.9036 0.4036 0.5000
O16 O 0.9338 0.2634 0.5000
```


# 2
Theoretical X-ray diffraction stick pattern
Compound: KO
Radiation: a wavelength of 1.5418 Å
Structure: a structure optimized by DFT (GGA-PBE)
Intensities are scaled so that the largest is 100.

Most intense lines, 10 to 90 degrees two-theta, sorted by position:
(hkl)  d (Å)  I/Imax
1 1 1  2.931  100
2 0 1  2.648  17
0 0 2  2.572  12
1 1 2  2.086  17
3 0 0  2.059  37
2 2 1  1.685  11
3 0 2  1.607  11
1 1 3  1.545  12

Structure:
```
data_KO
_symmetry_space_group_name_H-M 'P 1'
_symmetry_Int_Tables_number 1
_cell_length_a 7.1330
_cell_length_b 7.1330
_cell_length_c 5.1441
_cell_angle_alpha 90.00
_cell_angle_beta 90.00
_cell_angle_gamma 120.00
loop_
_symmetry_equiv_pos_as_xyz
'x,y,z'
loop_
_atom_site_label
_atom_site_type_symbol
_atom_site_fract_x
_atom_site_fract_y
_atom_site_fract_z
K1 K 0.0000 0.3651 0.0000
K2 K 0.0000 0.7047 0.5000
K3 K 0.2953 0.2953 0.5000
K4 K 0.3651 0.0000 0.0000
K5 K 0.6349 0.6349 0.0000
K6 K 0.7047 0.0000 0.5000
O1 O 0.0000 0.0000 0.1490
O2 O 0.0000 0.0000 0.8510
O3 O 0.3333 0.6667 0.3503
O4 O 0.3333 0.6667 0.6497
O5 O 0.6667 0.3333 0.3503
O6 O 0.6667 0.3333 0.6497
```


# 3
Theoretical X-ray diffraction stick pattern
Compound: K2O
Radiation: a wavelength of 1.5418 Å
Structure: a structure optimized by DFT (GGA-PBE)
Intensities are scaled so that the largest is 100.

Most intense lines, 10 to 90 degrees two-theta, sorted by position:
(hkl)  d (Å)  I/Imax
0 0 2  4.895  17
1 0 1  3.431  29
1 0 2  2.933  100
1 0 3  2.437  32
1 1 0  2.115  47
2 0 2  1.716  17
1 1 4  1.600  14
2 1 2  1.332  13

Structure:
```
data_K2O
_symmetry_space_group_name_H-M 'P 1'
_symmetry_Int_Tables_number 1
_cell_length_a 4.2303
_cell_length_b 4.2303
_cell_length_c 9.7896
_cell_angle_alpha 90.00
_cell_angle_beta 90.00
_cell_angle_gamma 120.00
loop_
_symmetry_equiv_pos_as_xyz
'x,y,z'
loop_
_atom_site_label
_atom_site_type_symbol
_atom_site_fract_x
_atom_site_fract_y
_atom_site_fract_z
K1 K 0.0000 0.0000 0.0000
K2 K 0.0000 0.0000 0.5000
K3 K 0.3333 0.6667 0.2247
K4 K 0.6667 0.3333 0.7247
O1 O 0.3333 0.6667 0.6098
O2 O 0.6667 0.3333 0.1098
```


Please write out number 1 again, unchanged.
Theoretical X-ray diffraction stick pattern
Compound: KO4
Radiation: a wavelength of 1.5418 Å
Structure: a structure optimized by DFT (GGA-PBE)
Intensities are scaled so that the largest is 100.

Most intense lines, 10 to 90 degrees two-theta, sorted by position:
(hkl)  d (Å)  I/Imax
1 1 1  3.305  14
3 1 0  3.025  34
2 0 1  2.970  17
2 1 1  2.836  100
2 2 1  2.523  52
4 1 0  2.320  42
5 3 1  1.505  13
4 1 2  1.467  15

Structure:
```
data_KO4
_symmetry_space_group_name_H-M 'P 1'
_symmetry_Int_Tables_number 1
_cell_length_a 9.5650
_cell_length_b 9.5650
_cell_length_c 3.7888
_cell_angle_alpha 90.00
_cell_angle_beta 90.00
_cell_angle_gamma 90.00
loop_
_symmetry_equiv_pos_as_xyz
'x,y,z'
loop_
_atom_site_label
_atom_site_type_symbol
_atom_site_fract_x
_atom_site_fract_y
_atom_site_fract_z
K1 K 0.2002 0.2998 0.0000
K2 K 0.2998 0.7998 0.0000
K3 K 0.7002 0.2002 0.0000
K4 K 0.7998 0.7002 0.0000
O1 O 0.0000 0.0000 0.1628
O2 O 0.0000 0.0000 0.8372
O3 O 0.0662 0.7366 0.5000
O4 O 0.0964 0.5964 0.5000
O5 O 0.2366 0.5662 0.5000
O6 O 0.2634 0.0662 0.5000
O7 O 0.4036 0.0964 0.5000
O8 O 0.4338 0.2366 0.5000
O9 O 0.5000 0.5000 0.1628
O10 O 0.5000 0.5000 0.8372
O11 O 0.5662 0.7634 0.5000
O12 O 0.5964 0.9036 0.5000
O13 O 0.7366 0.9338 0.5000
O14 O 0.7634 0.4338 0.5000
O15 O 0.9036 0.4036 0.5000
O16 O 0.9338 0.2634 0.5000
```


Repeat the second record exactly.
Theoretical X-ray diffraction stick pattern
Compound: KO
Radiation: a wavelength of 1.5418 Å
Structure: a structure optimized by DFT (GGA-PBE)
Intensities are scaled so that the largest is 100.

Most intense lines, 10 to 90 degrees two-theta, sorted by position:
(hkl)  d (Å)  I/Imax
1 1 1  2.931  100
2 0 1  2.648  17
0 0 2  2.572  12
1 1 2  2.086  17
3 0 0  2.059  37
2 2 1  1.685  11
3 0 2  1.607  11
1 1 3  1.545  12

Structure:
```
data_KO
_symmetry_space_group_name_H-M 'P 1'
_symmetry_Int_Tables_number 1
_cell_length_a 7.1330
_cell_length_b 7.1330
_cell_length_c 5.1441
_cell_angle_alpha 90.00
_cell_angle_beta 90.00
_cell_angle_gamma 120.00
loop_
_symmetry_equiv_pos_as_xyz
'x,y,z'
loop_
_atom_site_label
_atom_site_type_symbol
_atom_site_fract_x
_atom_site_fract_y
_atom_site_fract_z
K1 K 0.0000 0.3651 0.0000
K2 K 0.0000 0.7047 0.5000
K3 K 0.2953 0.2953 0.5000
K4 K 0.3651 0.0000 0.0000
K5 K 0.6349 0.6349 0.0000
K6 K 0.7047 0.0000 0.5000
O1 O 0.0000 0.0000 0.1490
O2 O 0.0000 0.0000 0.8510
O3 O 0.3333 0.6667 0.3503
O4 O 0.3333 0.6667 0.6497
O5 O 0.6667 0.3333 0.3503
O6 O 0.6667 0.3333 0.6497
```